Diffraction record for PaV3O9. The X-ray diffraction stick pattern is calculated, not measured: it uses a crystal structure in Alexandria, relaxed with PBE+U and CuKα.

Cell and atoms:
```
data_PaV3O9
_chemical_formula_sum 'Pa4 V12 O36'
_cell_length_a 15.4144
_cell_length_b 7.4273
_cell_length_c 11.0309
_cell_angle_alpha 90.00
_cell_angle_beta 126.11
_cell_angle_gamma 90.00
_symmetry_space_group_name_H-M 'C 1 c 1'
_symmetry_Int_Tables_number 9
loop_
_symmetry_equiv_pos_as_xyz
'x,y,z'
'x,-y,z+1/2'
'x+1/2,y+1/2,z'
'x+1/2,-y+1/2,z+1/2'
loop_
_atom_site_label
_atom_site_fract_x
_atom_site_fract_y
_atom_site_fract_z
Pa1 0.0000 0.2414 0.0000
V1 0.1424 0.0957 0.8349
V2 0.2464 0.4491 0.7472
V3 0.3660 0.0952 0.6794
O1 0.0362 0.1336 0.8596
O2 0.0880 0.0328 0.1685
O3 0.1466 0.4119 0.1062
O4 0.1896 0.3182 0.8145
O5 0.2542 0.0118 0.0084
O6 0.3003 0.3063 0.6816
O7 0.3502 0.4189 0.3897
O8 0.4071 0.0401 0.3356
O9 0.4621 0.1494 0.6457
```

The 10 most intense peaks (2θ from 10° to 80°), by intensity:
d [Å]	intensity
4.574	100.0
6.138	60.2
5.449	27.0
3.263	25.5
3.189	23.5
4.193	23.3
3.070	20.7
2.852	19.6
3.819	19.2
3.990	18.9